Record 1
The following is a calculated powder diffractogram of PuScAs2. It was derived from a structure optimized by DFT (PBE), using Cu Kα, 1.54184 Å.

Cell and atoms:
```
PuScAs2
1.0
2.012 1.162 6.483
-2.012 1.162 6.483
0.000 -2.324 6.483
Pu Sc As
1 1 2
Cartesian
0.000 0.000 0.000
0.000 0.000 9.724
0.000 0.000 4.776
0.000 0.000 14.672
```

Most intense lines, 10 to 90 degrees two-theta, in order of rising 2θ:
2θ/deg  d_spacing  I/Imax
13.66  6.483  366
25.97  3.431  318
31.59  2.833  1000
34.56  2.596  186
45.05  2.012  377
45.49  1.994  360
56.06  1.640  196
74.65  1.271  168
75.29  1.262  159
83.46  1.158  126

=====

Record 2
The following is a calculated powder diffractogram of Zr4AlZn3. It was derived from a structure optimized by DFT (PBE), using Cu Kα, 1.54184 Å.

Cell and atoms:
```
Zr4AlZn3
1.0
3.113 0.000 0.000
0.000 3.113 0.000
0.000 0.000 15.532
Zr Al Zn
4 1 3
Cartesian
0.000 0.000 1.920
0.000 0.000 5.773
0.000 0.000 9.759
0.000 0.000 13.612
1.557 1.557 7.766
1.557 1.557 0.000
1.557 1.557 3.823
1.557 1.557 11.709
```

Most intense lines, 10 to 90 degrees two-theta, in order of rising 2θ:
2θ/deg  d_spacing  I/Imax
22.90  3.883  42
28.68  3.113  48
37.01  2.429  1000
41.00  2.201  388
46.79  1.942  124
59.37  1.557  121
63.93  1.456  188
72.06  1.311  263
78.80  1.215  100
80.33  1.195  93

=====

Record 3
The following is a calculated powder diffractogram of CoSb3. It was derived from a structure optimized by DFT (PBE), using Cu Kα, 1.54184 Å.

Cell and atoms:
```
CoSb3
1.0
-4.556 4.556 4.556
4.556 -4.556 4.556
4.556 4.556 -4.556
Co Sb
4 12
Cartesian
2.278 2.278 -2.278
2.278 -2.278 2.278
-2.278 2.278 2.278
2.278 2.278 2.278
3.040 1.455 0.000
6.073 1.455 0.000
4.556 -1.517 3.102
3.102 4.556 -1.517
1.455 0.000 3.040
0.000 3.040 1.455
4.556 1.517 3.102
3.102 4.556 1.517
1.455 0.000 6.073
0.000 6.073 1.455
-1.517 3.102 4.556
1.517 3.102 4.556
```

Most intense lines, 10 to 90 degrees two-theta, in order of rising 2θ:
2θ/deg  d_spacing  I/Imax
31.03  2.882  1000
36.91  2.435  391
42.07  2.148  91
44.46  2.038  241
46.76  1.943  106
48.97  1.860  170
51.11  1.787  206
59.11  1.563  220
61.01  1.519  92
70.03  1.344  179

=====

Record 4
The following is a calculated powder diffractogram of TbPrAgPt. It was derived from a structure optimized by DFT (PBE), using Cu Kα, 1.54184 Å.

Cell and atoms:
```
TbPrAgPt
1.0
4.688 0.000 0.000
0.000 1.943 5.484
0.000 -1.943 5.484
Tb Pr Ag Pt
1 1 1 1
Cartesian
0.000 0.000 0.000
2.344 0.000 3.037
0.000 0.000 7.864
2.344 0.000 6.033
```

Most intense lines, 10 to 90 degrees two-theta, in order of rising 2θ:
2θ/deg  d_spacing  I/Imax
30.99  2.886  1000
32.66  2.742  283
33.66  2.663  178
38.02  2.367  246
38.40  2.344  336
38.90  2.315  743
46.76  1.943  192
51.28  1.782  159
62.05  1.496  164
77.25  1.235  144

=====

Record 5
The following is a calculated powder diffractogram of Ca2Zn4As4O17. It was derived from a structure optimized by DFT (PBE), using Cu Kα, 1.54184 Å.

Cell and atoms:
```
Ca2Zn4As4O17
1.0
9.891 -3.912 0.000
9.891 3.912 0.000
-2.142 0.000 9.769
Ca Zn As O
4 8 8 34
Cartesian
6.560 1.985 5.825
10.009 1.985 8.829
7.631 -1.985 0.940
11.080 -1.985 3.944
2.098 0.566 9.659
3.169 -0.566 4.774
7.445 0.790 2.929
11.266 0.790 1.955
6.374 -0.790 7.814
10.195 -0.790 6.840
14.472 0.566 4.995
15.542 -0.566 0.110
4.268 1.938 2.893
13.373 -1.938 6.877
8.642 1.786 0.142
10.069 1.786 4.742
3.197 -1.938 7.777
14.444 1.938 1.992
7.571 -1.786 5.027
8.999 -1.786 9.627
0.020 0.697 9.431
3.374 1.764 8.584
3.077 0.727 3.204
5.806 1.614 3.606
8.285 2.472 7.327
1.091 -0.697 4.546
4.155 0.592 6.119
8.425 1.963 4.252
6.530 1.198 8.254
10.286 1.963 0.632
2.006 -0.727 8.088
5.226 -0.592 1.235
7.993 0.481 1.084
10.040 1.198 6.399
12.906 1.614 1.278
6.923 -0.481 5.969
4.444 -1.764 3.700
13.196 1.764 6.069
10.718 0.481 3.800
4.735 -1.614 8.491
7.601 -1.198 3.370
9.647 -0.481 8.685
12.415 0.592 8.534
15.634 0.727 1.681
7.354 -1.963 9.137
11.111 -1.198 1.515
9.216 -1.963 5.517
13.486 -0.592 3.650
16.550 0.697 5.223
9.356 -2.472 2.442
11.835 -1.614 6.163
14.563 -0.727 6.565
14.267 -1.764 1.185
17.621 -0.697 0.338
```

Most intense lines, 10 to 90 degrees two-theta, in order of rising 2θ:
2θ/deg  d_spacing  I/Imax
12.20  7.252  486
22.74  3.911  847
25.71  3.465  540
27.70  3.221  1000
29.14  3.064  573
29.46  3.032  644
30.99  2.885  469
31.92  2.803  836
33.97  2.639  565
58.29  1.583  460

=====

Record 6
The following is a calculated powder diffractogram of In2Re4Ag. It was derived from a structure optimized by DFT (PBE), using Cu Kα, 1.54184 Å.

Cell and atoms:
```
In2Re4Ag
1.0
-2.382 2.382 6.959
2.382 -2.382 6.959
2.382 2.382 -6.959
In Re Ag
2 4 1
Cartesian
0.000 0.000 1.728
0.000 0.000 12.189
2.382 0.000 0.000
0.000 0.000 4.449
0.000 2.382 0.000
0.000 0.000 9.468
0.000 0.000 6.959
```

Most intense lines, 10 to 90 degrees two-theta, in order of rising 2θ:
2θ/deg  d_spacing  I/Imax
12.72  6.959  362
26.46  3.369  265
29.46  3.032  780
37.15  2.420  551
37.42  2.403  593
37.76  2.382  1000
38.82  2.320  249
54.21  1.692  402
54.47  1.684  346
55.28  1.662  359

=====

Record 7
The following is a calculated powder diffractogram of Cs3K4CdH8. It was derived from a structure optimized by DFT (PBE), using Cu Kα, 1.54184 Å.

Cell and atoms:
```
Cs3K4CdH8
1.0
7.160 -4.108 0.000
7.160 4.108 0.000
-4.559 0.000 6.718
Cs K Cd H
3 4 1 8
Cartesian
0.000 0.000 0.000
3.580 2.054 0.000
3.580 -2.054 0.000
-2.280 0.000 3.359
1.300 2.054 3.359
1.300 -2.054 3.359
4.880 0.000 3.359
7.160 0.000 0.000
0.047 0.000 4.720
2.475 0.000 1.935
3.394 1.455 5.440
6.366 1.455 1.278
3.394 -1.455 5.440
6.366 -1.455 1.278
7.286 0.000 4.783
9.713 0.000 1.997
```

Most intense lines, 10 to 90 degrees two-theta, in order of rising 2θ:
2θ/deg  d_spacing  I/Imax
13.18  6.718  637
25.46  3.499  282
26.40  3.376  1000
26.54  3.359  493
26.70  3.339  485
30.17  2.962  377
30.97  2.888  695
43.68  2.072  256
43.89  2.063  253
52.24  1.751  289